Simulated PXRD pattern
Compound: Ce4Dy3ScS8
Radiation: Cu Kα
Structure: a cell relaxed with GGA-PBE

Peak list (6 most intense, 2θ from 10° to 90°, by intensity)
| Position (°2θ) | I (rel.) |
| --- | --- |
| 32.12 | 100 |
| 27.83 | 52 |
| 45.81 | 36 |
| 46.33 | 35 |
| 27.42 | 18 |
| 57.49 | 18 |

Structural model:
a b c (Å): 7.9240 7.9240 7.9240
angles (deg): 59.29 59.29 59.29
Fractional positions:
Ce: 0.0000 0.0000 0.0000
Ce: 0.0000 0.5000 0.5000
Ce: 0.5000 0.0000 0.5000
Ce: 0.5000 0.5000 0.0000
Dy: 0.0000 0.0000 0.5000
Dy: 0.0000 0.5000 0.0000
Dy: 0.5000 0.0000 0.0000
Sc: 0.5000 0.5000 0.5000
S: 0.2461 0.2461 0.2461
S: 0.2521 0.7406 0.7406
S: 0.2594 0.2594 0.7479
S: 0.2594 0.7479 0.2594
S: 0.7406 0.2521 0.7406
S: 0.7406 0.7406 0.2521
S: 0.7479 0.2594 0.2594
S: 0.7539 0.7539 0.7539